Calculated powder diffraction line list
Compound: SrMo2F11
Radiation: λ = 1.5418 Å (Cu Kα)
Structure: a DFT-relaxed cell (PBE+U, Alexandria)

The 10 most intense peaks (10° ≤ 2θ ≤ 90°), most intense first:
Position (°2θ)  intensity
21.25  100
25.87  67
23.60  60
43.25  52
22.51  51
15.49  49
47.25  31
29.11  22
49.59  18
50.54  18

Crystal structure
```
SrMo2F11
1.0
-3.872 5.013 5.720
3.872 -5.013 5.720
3.872 5.013 -5.720
Sr Mo F
2 4 22
direct
0.250 0.250 0.000 Sr
0.750 0.750 0.000 Sr
0.178 0.635 0.813 Mo
0.322 0.135 0.457 Mo
0.678 0.865 0.543 Mo
0.822 0.365 0.187 Mo
0.000 0.500 0.500 F
0.044 0.359 0.163 F
0.067 0.965 0.299 F
0.166 0.465 0.898 F
0.196 0.881 0.837 F
0.214 0.365 0.579 F
0.286 0.865 0.151 F
0.304 0.141 0.685 F
0.334 0.232 0.299 F
0.433 0.732 0.898 F
0.456 0.619 0.315 F
0.500 0.000 0.500 F
0.544 0.381 0.685 F
0.567 0.268 0.102 F
0.666 0.768 0.701 F
0.696 0.859 0.315 F
0.714 0.135 0.849 F
0.786 0.635 0.421 F
0.804 0.119 0.163 F
0.834 0.535 0.102 F
0.933 0.035 0.701 F
0.956 0.641 0.837 F
```